# 1
Li8BiS6: theoretical X-ray diffraction stick pattern (Cu Ka), based on DFT lattice parameters and positions (PBE).
Kinematic intensities with the Lorentz-polarization factor, no thermal factor.

Structure:
Cell lengths 7.1146, 7.1146, 13.4791 Å; angles 90.00, 90.00, 120.00 degrees
Space group P6_3cm (No. 185)
Unique sites:
Li 0.0000 0.3259 0.0000 x6
Li 0.0000 0.3888 0.3673 x6
Li 0.3333 0.6667 0.1306 x4
Bi 0.0000 0.0000 0.2267 x2
S 0.0000 0.0000 0.4227 x2
S 0.0000 0.3536 0.1848 x6
S 0.3333 0.6667 0.4481 x4

Principal peaks in the range 10° ≤ 2θ ≤ 90°, by intensity:
2θ = 19.52°, rel. 100, (1 0 2)
2θ = 14.38°, rel. 85, (1 0 0)
2θ = 25.03°, rel. 44, (1 1 0)
2θ = 31.94°, rel. 36, (2 0 2)
2θ = 41.00°, rel. 34, (2 1 2)
2θ = 13.14°, rel. 34, (0 0 2)
2θ = 30.23°, rel. 31, (1 0 4)
2θ = 36.74°, rel. 28, (1 1 4)
2θ = 44.09°, rel. 28, (3 0 0)
2θ = 26.45°, rel. 25, (0 0 4)
2θ = 28.98°, rel. 23, (2 0 0)
2θ = 52.15°, rel. 21, (3 0 4)

# 2
Li4Bi2S7: theoretical X-ray diffraction stick pattern (Cu Ka), based on DFT lattice parameters and positions (PBE).
Kinematic intensities with the Lorentz-polarization factor, no thermal factor.

Structure:
Cell lengths 6.1714, 12.5587, 8.8355 Å; angles 90.00, 123.58, 90.00 degrees
Space group P2_1/c (No. 14)
Unique sites:
Li 0.1416 0.1121 0.4757 x4
Li 0.2114 0.6668 0.8798 x4
Bi 0.3502 0.0266 0.1402 x4
S 0.1871 0.0142 0.7616 x4
S 0.2037 0.7289 0.6150 x4
S 0.4027 0.2359 0.2053 x4
S 0.5000 0.0000 0.5000 x2

Principal peaks in the range 10° ≤ 2θ ≤ 90°, by intensity:
2θ = 14.10°, rel. 100, (0 2 0)
2θ = 13.94°, rel. 82, (0 1 1)
2θ = 20.48°, rel. 68, (1 0 -2)
2θ = 30.67°, rel. 57, (2 1 -1)
2θ = 31.32°, rel. 55, (1 1 -3)
2θ = 37.39°, rel. 51, (0 1 3)
2θ = 28.43°, rel. 46, (0 4 0)
2θ = 17.25°, rel. 41, (1 0 0)
2θ = 27.02°, rel. 39, (1 1 1)
2θ = 36.88°, rel. 28, (2 3 -1)
2θ = 50.85°, rel. 23, (3 2 -4)
2θ = 22.35°, rel. 23, (1 2 0)

# 3
LiBiS2: theoretical X-ray diffraction stick pattern (Cu Ka), based on DFT lattice parameters and positions (PBE).
Kinematic intensities with the Lorentz-polarization factor, no thermal factor.

Structure:
Cell lengths 3.9790, 3.9790, 19.0258 Å; angles 90.00, 90.00, 120.00 degrees
Space group R-3m (No. 166, hexagonal axes)
Unique sites:
Li 0.0000 0.0000 0.0000 x3
Bi 0.0000 0.0000 0.5000 x3
S 0.0000 0.0000 0.2543 x6

Principal peaks in the range 10° ≤ 2θ ≤ 90°, by intensity:
2θ = 13.96°, rel. 100, (0 0 3)
2θ = 32.07°, rel. 88, (1 0 4)
2θ = 26.28°, rel. 77, (1 0 1)
2θ = 35.13°, rel. 40, (0 1 5)
2θ = 27.53°, rel. 34, (0 1 2)
2θ = 45.60°, rel. 33, (1 1 0)
2θ = 46.39°, rel. 31, (0 1 8)
2θ = 47.92°, rel. 30, (1 1 3)
2θ = 42.35°, rel. 20, (1 0 7)
2θ = 56.83°, rel. 17, (0 2 4)
2θ = 64.30°, rel. 15, (1 1 9)
2θ = 75.71°, rel. 15, (2 1 4)